Entry 1:
This entry pairs a crystal structure of Dy2Ga8Ag with its calculated powder XRD pattern. Radiation: copper Kα. Structure: a PBE-relaxed structure.

Top 8 peaks for 15 to 90 degrees two-theta, sorted by position:
- 20.33°, intensity 22
- 31.27°, intensity 14
- 33.02°, intensity 18
- 37.59°, intensity 100
- 41.35°, intensity 46
- 59.90°, intensity 15
- 65.24°, intensity 11
- 72.91°, intensity 27

Structural model:
```
Dy2Ga8Ag
1.0
4.367 0.000 0.000
0.000 4.367 0.000
0.000 0.000 11.354
Dy Ga Ag
2 8 1
Cartesian
0.000 0.000 2.116
0.000 0.000 9.238
0.000 2.184 0.000
0.000 2.184 4.149
0.000 2.184 7.205
2.184 0.000 0.000
2.184 0.000 4.149
2.184 0.000 7.205
2.184 2.184 2.145
2.184 2.184 9.209
0.000 0.000 5.677
```


Entry 2:
This entry pairs a crystal structure of DyGa6Ag with its calculated powder XRD pattern. Radiation: copper Kα. Structure: a PBE-relaxed structure.

Top 8 peaks for 15 to 90 degrees two-theta, sorted by position:
- 35.70°, intensity 28
- 37.40°, intensity 100
- 40.80°, intensity 21
- 52.53°, intensity 8
- 55.31°, intensity 15
- 65.26°, intensity 15
- 72.04°, intensity 14
- 79.78°, intensity 8

Structural model:
```
DyGa6Ag
1.0
6.969 0.000 0.000
0.000 10.061 0.000
0.000 0.000 4.423
Dy Ga Ag
2 12 2
Cartesian
0.000 0.000 0.000
3.484 5.030 0.000
0.000 2.196 2.212
0.000 7.864 2.212
1.439 5.030 2.212
1.742 2.515 0.000
1.742 7.546 0.000
2.046 0.000 2.212
3.484 2.834 2.212
3.484 7.227 2.212
4.923 0.000 2.212
5.227 2.515 0.000
5.227 7.546 0.000
5.530 5.030 2.212
0.000 5.030 0.000
3.484 0.000 0.000
```


Entry 3:
This entry pairs a crystal structure of DyGa4Ag12 with its calculated powder XRD pattern. Radiation: copper Kα. Structure: a PBE-relaxed structure.

Top 8 peaks for 15 to 90 degrees two-theta, sorted by position:
- 31.40°, intensity 100
- 37.35°, intensity 44
- 45.00°, intensity 14
- 49.57°, intensity 24
- 51.74°, intensity 33
- 61.78°, intensity 9
- 70.95°, intensity 15
- 81.33°, intensity 9

Structural model:
```
DyGa4Ag12
1.0
-4.505 4.505 4.505
4.505 -4.505 4.505
4.505 4.505 -4.505
Dy Ga Ag
1 4 12
Cartesian
0.000 0.000 0.000
2.252 2.252 -2.252
2.252 -2.252 2.252
-2.252 2.252 2.252
2.252 2.252 2.252
3.106 0.000 1.385
5.904 0.000 1.385
4.505 3.119 -1.399
1.385 3.106 0.000
3.119 -1.399 4.505
0.000 1.385 3.106
4.505 3.119 1.399
1.385 5.904 0.000
3.119 1.399 4.505
0.000 1.385 5.904
-1.399 4.505 3.119
1.399 4.505 3.119
```


Entry 4:
This entry pairs a crystal structure of Dy3Ga3Ag2 with its calculated powder XRD pattern. Radiation: copper Kα. Structure: a PBE-relaxed structure.

Top 8 peaks for 15 to 90 degrees two-theta, sorted by position:
- 32.62°, intensity 54
- 32.74°, intensity 100
- 34.34°, intensity 17
- 34.82°, intensity 17
- 36.77°, intensity 26
- 37.06°, intensity 70
- 40.59°, intensity 34
- 40.63°, intensity 47

Structural model:
```
Dy3Ga3Ag2
1.0
2.220 -5.393 0.000
2.220 5.393 0.000
0.000 0.000 14.666
Dy Ga Ag
6 6 4
Cartesian
2.220 4.455 8.940
2.220 4.455 13.059
2.220 1.546 11.000
2.220 -1.546 3.667
2.220 -4.455 1.607
2.220 -4.455 5.726
2.220 1.541 3.667
2.220 1.125 7.946
2.220 1.125 14.053
2.220 -1.125 0.613
2.220 -1.125 6.720
2.220 -1.541 11.000
2.220 3.143 1.433
2.220 3.143 5.900
2.220 -3.143 8.766
2.220 -3.143 13.233
```


Entry 5:
This entry pairs a crystal structure of Dy4GaAg2 with its calculated powder XRD pattern. Radiation: copper Kα. Structure: a PBE-relaxed structure.

Top 8 peaks for 15 to 90 degrees two-theta, sorted by position:
- 24.91°, intensity 32
- 35.34°, intensity 100
- 35.70°, intensity 96
- 51.11°, intensity 34
- 63.44°, intensity 18
- 63.67°, intensity 35
- 64.35°, intensity 16
- 85.70°, intensity 16

Structural model:
```
Dy4GaAg2
1.0
2.540 1.466 8.176
-2.540 1.466 8.176
0.000 -2.933 8.176
Dy Ga Ag
4 1 2
Cartesian
0.000 0.000 2.979
0.000 0.000 9.167
0.000 0.000 15.361
0.000 0.000 21.549
0.000 0.000 12.264
0.000 0.000 6.076
0.000 0.000 18.452
```


Entry 6:
This entry pairs a crystal structure of PmDy2Ga2Ag2 with its calculated powder XRD pattern. Radiation: copper Kα. Structure: a PBE-relaxed structure.

Top 8 peaks for 15 to 90 degrees two-theta, sorted by position:
- 22.35°, intensity 19
- 32.24°, intensity 64
- 34.80°, intensity 79
- 38.77°, intensity 100
- 51.28°, intensity 17
- 53.08°, intensity 24
- 65.86°, intensity 28
- 67.64°, intensity 23

Structural model:
```
PmDy2Ga2Ag2
1.0
2.323 1.341 8.954
-2.323 1.341 8.954
0.000 -2.682 8.954
Pm Dy Ga Ag
1 2 2 2
Cartesian
0.000 0.000 0.000
0.000 0.000 3.398
0.000 0.000 23.462
0.000 0.000 6.872
0.000 0.000 19.988
0.000 0.000 10.826
0.000 0.000 16.035
```


Entry 7:
This entry pairs a crystal structure of DyAg2GeS4 with its calculated powder XRD pattern. Radiation: copper Kα. Structure: a PBE-relaxed structure.

Top 8 peaks for 15 to 90 degrees two-theta, sorted by position:
- 27.87°, intensity 47
- 28.83°, intensity 43
- 32.59°, intensity 51
- 32.98°, intensity 100
- 46.08°, intensity 19
- 47.05°, intensity 70
- 55.28°, intensity 22
- 57.58°, intensity 19

Structural model:
```
DyAg2GeS4
1.0
-3.749 3.939 5.495
3.749 -3.939 5.495
3.749 3.939 -5.495
Dy Ag Ge S
2 4 2 8
Cartesian
0.000 0.000 0.000
0.000 3.939 0.000
3.749 0.000 0.000
-1.874 1.970 2.748
0.000 0.000 5.495
1.874 1.970 2.748
1.874 1.970 -2.748
1.874 -1.970 2.748
3.749 3.820 -2.759
3.749 -0.120 2.759
1.871 1.970 -0.131
1.878 -1.970 5.364
1.871 5.909 0.131
1.878 1.970 5.627
0.000 4.059 2.737
0.000 0.120 8.254
```


Entry 8:
This entry pairs a crystal structure of Dy6AgGe2S14 with its calculated powder XRD pattern. Radiation: copper Kα. Structure: a PBE-relaxed structure.

Top 8 peaks for 15 to 90 degrees two-theta, sorted by position:
- 18.55°, intensity 22
- 20.76°, intensity 22
- 23.71°, intensity 28
- 25.93°, intensity 100
- 36.38°, intensity 44
- 37.60°, intensity 39
- 37.92°, intensity 29
- 41.13°, intensity 28

Structural model:
```
Dy6AgGe2S14
1.0
9.879 0.000 0.000
-4.940 8.556 0.000
0.000 0.000 5.771
Dy Ag Ge S
6 1 2 14
Cartesian
-2.527 4.763 0.000
2.528 0.928 2.888
2.078 3.985 0.000
0.449 8.362 0.000
4.479 5.902 2.888
7.812 1.726 2.888
4.940 2.852 4.151
0.000 0.000 0.447
0.000 5.704 3.369
0.000 0.000 4.018
-3.348 7.284 1.391
0.306 2.014 1.391
-0.298 3.689 4.307
-1.596 6.969 4.307
0.000 5.704 1.167
3.150 1.479 5.555
2.843 3.687 2.711
5.265 0.619 2.711
1.894 6.453 4.307
3.042 7.813 1.391
4.645 5.089 5.555
7.024 1.988 5.555
6.711 4.250 2.711
```


Entry 9:
This entry pairs a crystal structure of Dy2Ag3Hg4 with its calculated powder XRD pattern. Radiation: copper Kα. Structure: a PBE-relaxed structure.

Top 8 peaks for 15 to 90 degrees two-theta, sorted by position:
- 30.70°, intensity 21
- 32.86°, intensity 33
- 33.25°, intensity 24
- 33.82°, intensity 49
- 36.00°, intensity 100
- 37.47°, intensity 18
- 55.02°, intensity 15
- 56.22°, intensity 15

Structural model:
```
Dy2Ag3Hg4
1.0
3.040 -7.821 0.000
3.040 7.821 0.000
0.000 0.000 8.725
Dy Ag Hg
4 6 8
Cartesian
3.040 5.958 8.123
3.040 1.863 3.760
3.040 -1.863 4.964
3.040 -5.958 0.602
0.000 0.000 4.362
1.520 3.471 6.544
1.520 -3.471 2.181
3.040 0.000 0.000
4.560 3.471 6.544
4.560 -3.471 2.181
3.040 4.991 4.648
1.520 0.600 6.544
1.520 -0.600 2.181
3.040 2.830 0.285
3.040 -2.830 8.439
4.560 0.600 6.544
4.560 -0.600 2.181
3.040 -4.991 4.077
```


Entry 10:
This entry pairs a crystal structure of DyAg2Hg4 with its calculated powder XRD pattern. Radiation: copper Kα. Structure: a PBE-relaxed structure.

Top 8 peaks for 15 to 90 degrees two-theta, sorted by position:
- 25.72°, intensity 16
- 28.76°, intensity 11
- 36.52°, intensity 100
- 36.69°, intensity 53
- 52.86°, intensity 19
- 65.62°, intensity 15
- 65.96°, intensity 36
- 77.61°, intensity 9

Structural model:
```
DyAg2Hg4
1.0
4.899 0.000 0.000
0.000 4.899 0.000
0.000 0.000 6.991
Dy Ag Hg
1 2 4
Cartesian
0.000 0.000 0.000
0.000 0.000 3.495
2.449 2.449 0.000
0.000 2.449 1.920
0.000 2.449 5.071
2.449 0.000 1.920
2.449 0.000 5.071
```


Entry 11:
This entry pairs a crystal structure of Dy4Ag2HgIr with its calculated powder XRD pattern. Radiation: copper Kα. Structure: a PBE-relaxed structure.

Top 8 peaks for 15 to 90 degrees two-theta, sorted by position:
- 35.22°, intensity 100
- 35.36°, intensity 90
- 50.77°, intensity 32
- 63.26°, intensity 51
- 63.56°, intensity 12
- 74.47°, intensity 11
- 85.22°, intensity 15
- 85.46°, intensity 11

Structural model:
```
Dy4Ag2HgIr
1.0
2.548 1.471 8.275
-2.548 1.471 8.275
0.000 -2.942 8.275
Dy Ag Hg Ir
4 2 1 1
Cartesian
0.000 0.000 2.884
0.000 0.000 9.147
0.000 0.000 15.678
0.000 0.000 21.940
0.000 0.000 6.038
0.000 0.000 18.786
0.000 0.000 12.412
0.000 0.000 0.000
```


Entry 12:
This entry pairs a crystal structure of Li2DyAg2Hg2 with its calculated powder XRD pattern. Radiation: copper Kα. Structure: a PBE-relaxed structure.

Top 8 peaks for 15 to 90 degrees two-theta, sorted by position:
- 27.13°, intensity 84
- 36.26°, intensity 83
- 37.67°, intensity 100
- 45.55°, intensity 20
- 47.04°, intensity 19
- 51.40°, intensity 19
- 53.29°, intensity 27
- 67.09°, intensity 27

Structural model:
```
Li2DyAg2Hg2
1.0
2.388 1.378 7.219
-2.388 1.378 7.219
0.000 -2.757 7.219
Li Dy Ag Hg
2 1 2 2
Cartesian
0.000 0.000 3.164
0.000 0.000 18.495
0.000 0.000 0.000
0.000 0.000 9.352
0.000 0.000 12.306
0.000 0.000 5.822
0.000 0.000 15.836
```


Entry 13:
This entry pairs a crystal structure of DyHo3Ag2 with its calculated powder XRD pattern. Radiation: copper Kα. Structure: a PBE-relaxed structure.

Top 8 peaks for 15 to 90 degrees two-theta, sorted by position:
- 28.77°, intensity 9
- 33.20°, intensity 100
- 35.24°, intensity 52
- 38.65°, intensity 10
- 50.70°, intensity 18
- 57.98°, intensity 11
- 61.95°, intensity 33
- 85.20°, intensity 8

Structural model:
```
DyHo3Ag2
1.0
3.602 0.000 0.000
0.000 3.602 0.000
0.000 0.000 12.220
Dy Ho Ag
1 3 2
Cartesian
0.000 0.000 0.000
1.801 1.801 2.467
1.801 1.801 6.110
1.801 1.801 9.754
0.000 0.000 4.289
0.000 0.000 7.931
```